Record 1
Structure and theoretical powder XRD pattern of La2NiO4 (a cell relaxed with GGA+U; Cu Kα, 1.54184 Å).
Neutral-atom scattering factors, no anomalous dispersion.

Principal peaks in the range 2θ from 10° to 90°, sorted by position:
2theta  intensity
23.61  27
31.26  100
31.52  36
32.49  37
42.95  23
43.15  15
43.90  15
45.90  36
55.96  21
57.19  18

Structural model:
```
data_La2NiO4
_cell_length_a 12.438
_cell_length_b 5.512
_cell_length_c 5.676
_cell_angle_alpha 90.00
_cell_angle_beta 90.00
_cell_angle_gamma 90.00
_symmetry_space_group_name_H-M 'C 1 m 1'
_symmetry_Int_Tables_number 8
_symmetry_space_group_name_Hall 'C -2y'
loop_
_atom_site_label
_atom_site_type_symbol
_atom_site_fract_x
_atom_site_fract_y
_atom_site_fract_z
_atom_site_occupancy
La1 La 0.000 0.000 0.000 1
La2 La 0.000 0.500 0.470 1
La3 La 0.226 0.000 0.500 1
La4 La 0.226 0.500 0.970 1
Ni1 Ni 0.363 0.500 0.485 1
Ni2 Ni 0.364 0.000 0.985 1
O1 O 0.042 0.000 0.422 1
O2 O 0.042 0.500 0.048 1
O3 O 0.184 0.000 0.922 1
O4 O 0.184 0.500 0.548 1
O5 O 0.347 0.250 0.235 1
O6 O 0.379 0.250 0.735 1
```



Record 2
Structure and theoretical powder XRD pattern of La9Ni6O19 (a cell relaxed with GGA+U; Cu Kα, 1.54184 Å).
Neutral-atom scattering factors, no anomalous dispersion.

Principal peaks in the range 2θ from 10° to 90°, sorted by position:
2theta  intensity
23.20  39
31.88  100
32.11  97
32.35  65
32.46  68
38.88  19
39.15  20
42.52  26
46.49  73
57.70  36

Structural model:
```
data_La9Ni6O19
_cell_length_a 16.605
_cell_length_b 5.516
_cell_length_c 10.365
_cell_angle_alpha 90.00
_cell_angle_beta 104.91
_cell_angle_gamma 90.00
_symmetry_space_group_name_H-M 'C 1 2/m 1'
_symmetry_Int_Tables_number 12
_symmetry_space_group_name_Hall '-C 2y'
loop_
_atom_site_label
_atom_site_type_symbol
_atom_site_fract_x
_atom_site_fract_y
_atom_site_fract_z
_atom_site_occupancy
La1 La 0.000 0.000 0.000 1
La2 La 0.055 0.000 0.350 1
La3 La 0.108 0.500 0.637 1
La4 La 0.155 0.500 0.995 1
La5 La 0.233 0.500 0.356 1
Ni1 Ni 0.032 0.500 0.197 1
Ni2 Ni 0.141 0.000 0.832 1
Ni3 Ni 0.199 0.000 0.175 1
O1 O 0.000 0.500 0.000 1
O2 O 0.055 0.243 0.814 1
O3 O 0.060 0.500 0.406 1
O4 O 0.108 0.000 0.575 1
O5 O 0.118 0.241 0.188 1
O6 O 0.224 0.251 0.842 1
O7 O 0.243 0.500 0.579 1
```



Record 3
Structure and theoretical powder XRD pattern of La2NiO4 (a cell relaxed with GGA+U; Cu Kα, 1.54184 Å).
Neutral-atom scattering factors, no anomalous dispersion.

Principal peaks in the range 2θ from 10° to 90°, sorted by position:
2theta  intensity
23.55  27
28.74  13
31.23  100
31.92  73
42.96  23
43.48  29
45.76  36
56.45  39
64.56  11
75.86  18

Structural model:
```
data_La2NiO4
_cell_length_a 5.608
_cell_length_b 5.608
_cell_length_c 12.423
_cell_angle_alpha 90.00
_cell_angle_beta 90.00
_cell_angle_gamma 90.00
_symmetry_space_group_name_H-M 'P 42/n c m'
_symmetry_Int_Tables_number 138
loop_
_symmetry_equiv_pos_as_xyz
'x,y,z'
'-x,-y,-z'
'-y+1/2,x,z+1/2'
'y+1/2,-x,-z+1/2'
'-x+1/2,-y+1/2,z'
'x+1/2,y+1/2,-z'
'y,-x+1/2,z+1/2'
'-y,x+1/2,-z+1/2'
'x+1/2,-y,-z+1/2'
'-x+1/2,y,z+1/2'
'-y,-x,-z'
'y,x,z'
'-x,y+1/2,-z+1/2'
'x,-y+1/2,z+1/2'
'y+1/2,x+1/2,-z'
'-y+1/2,-x+1/2,z'
loop_
_atom_site_label
_atom_site_type_symbol
_atom_site_fract_x
_atom_site_fract_y
_atom_site_fract_z
_atom_site_occupancy
La1 La 0.013 0.013 0.137 1
Ni1 Ni 0.000 0.000 0.500 1
O1 O 0.046 0.046 0.679 1
O2 O 0.250 0.250 0.475 1
O3 O 0.250 0.750 0.000 1
```



Record 4
Structure and theoretical powder XRD pattern of La4Ni3O10 (a cell relaxed with GGA+U; Cu Kα, 1.54184 Å).
Neutral-atom scattering factors, no anomalous dispersion.

Principal peaks in the range 2θ from 10° to 90°, sorted by position:
2theta  intensity
23.10  13
32.15  100
32.33  31
32.82  32
41.64  12
42.03  12
46.74  36
57.55  20
58.18  18
67.26  11

Structural model:
```
data_La4Ni3O10
_cell_length_a 5.457
_cell_length_b 27.922
_cell_length_c 5.538
_cell_angle_alpha 90.00
_cell_angle_beta 90.00
_cell_angle_gamma 90.00
_symmetry_space_group_name_H-M 'C m c e'
_symmetry_Int_Tables_number 64
_symmetry_space_group_name_Hall '-C 2ac 2'
loop_
_atom_site_label
_atom_site_type_symbol
_atom_site_fract_x
_atom_site_fract_y
_atom_site_fract_z
_atom_site_occupancy
La1 La 0.000 0.068 0.000 1
La2 La 0.000 0.199 0.011 1
Ni1 Ni 0.000 0.000 0.500 1
Ni2 Ni 0.000 0.140 0.502 1
O1 O 0.000 0.069 0.560 1
O2 O 0.000 0.217 0.460 1
O3 O 0.250 0.009 0.250 1
O4 O 0.250 0.133 0.250 1
O5 O 0.250 0.147 0.750 1
```



Record 5
Structure and theoretical powder XRD pattern of LaNiPO (a cell relaxed with GGA+U; Cu Kα, 1.54184 Å).
Neutral-atom scattering factors, no anomalous dispersion.

Principal peaks in the range 2θ from 10° to 90°, sorted by position:
2theta  intensity
24.48  60
31.28  100
33.00  37
33.54  22
38.44  35
44.40  45
51.35  17
55.32  39
55.86  33
56.78  20

Structural model:
```
data_LaNiPO
_cell_length_a 4.080
_cell_length_b 4.080
_cell_length_c 8.016
_cell_angle_alpha 90.00
_cell_angle_beta 90.00
_cell_angle_gamma 90.00
_symmetry_space_group_name_H-M 'P 4/n m m'
_symmetry_Int_Tables_number 129
loop_
_symmetry_equiv_pos_as_xyz
'x,y,z'
'-x,-y,-z'
'-y+1/2,x,z'
'y+1/2,-x,-z'
'-x+1/2,-y+1/2,z'
'x+1/2,y+1/2,-z'
'y,-x+1/2,z'
'-y,x+1/2,-z'
'x+1/2,-y,-z'
'-x+1/2,y,z'
'-y,-x,-z'
'y,x,z'
'-x,y+1/2,-z'
'x,-y+1/2,z'
'y+1/2,x+1/2,-z'
'-y+1/2,-x+1/2,z'
loop_
_atom_site_label
_atom_site_type_symbol
_atom_site_fract_x
_atom_site_fract_y
_atom_site_fract_z
_atom_site_occupancy
La1 La 0.250 0.250 0.153 1
Ni1 Ni 0.250 0.750 0.500 1
P1 P 0.250 0.250 0.615 1
O1 O 0.250 0.750 0.000 1
```



Record 6
Structure and theoretical powder XRD pattern of La2ReNiO6 (a cell relaxed with GGA+U; Cu Kα, 1.54184 Å).
Neutral-atom scattering factors, no anomalous dispersion.

Principal peaks in the range 2θ from 10° to 90°, sorted by position:
2theta  intensity
19.30  13
31.77  100
37.44  8
45.54  29
49.89  3
56.59  40
60.37  3
66.37  18
75.46  17
84.19  6

Structural model:
```
data_La2ReNiO6
_cell_length_a 7.967
_cell_length_b 7.967
_cell_length_c 7.967
_cell_angle_alpha 90.00
_cell_angle_beta 90.00
_cell_angle_gamma 90.00
_symmetry_space_group_name_H-M 'F m -3 m'
_symmetry_Int_Tables_number 225
_symmetry_space_group_name_Hall '-F 4 2 3'
loop_
_atom_site_label
_atom_site_type_symbol
_atom_site_fract_x
_atom_site_fract_y
_atom_site_fract_z
_atom_site_occupancy
La1 La 0.250 0.250 0.250 1
Re1 Re 0.000 0.000 0.000 1
Ni1 Ni 0.000 0.000 0.500 1
O1 O 0.000 0.000 0.250 1
```



Record 7
Structure and theoretical powder XRD pattern of La2NiRuO6 (a cell relaxed with GGA+U; Cu Kα, 1.54184 Å).
Neutral-atom scattering factors, no anomalous dispersion.

Principal peaks in the range 2θ from 10° to 90°, sorted by position:
2theta  intensity
31.10  43
31.75  100
31.88  99
32.24  49
45.41  44
45.81  29
51.75  20
55.79  22
57.09  22
57.32  33

Structural model:
```
data_La2NiRuO6
_cell_length_a 5.554
_cell_length_b 5.751
_cell_length_c 9.651
_cell_angle_alpha 90.00
_cell_angle_beta 124.82
_cell_angle_gamma 90.00
_symmetry_space_group_name_H-M 'P 1 21/c 1'
_symmetry_Int_Tables_number 14
_symmetry_space_group_name_Hall '-P 2ybc'
loop_
_atom_site_label
_atom_site_type_symbol
_atom_site_fract_x
_atom_site_fract_y
_atom_site_fract_z
_atom_site_occupancy
La1 La 0.237 0.056 0.250 1
Ni1 Ni 0.500 0.000 0.000 1
Ru1 Ru 0.000 0.000 0.500 1
O1 O 0.149 0.208 0.951 1
O2 O 0.250 0.700 0.956 1
O3 O 0.336 0.023 0.747 1
```



Record 8
Structure and theoretical powder XRD pattern of La3NiWS3O6 (a cell relaxed with GGA+U; Cu Kα, 1.54184 Å).
Neutral-atom scattering factors, no anomalous dispersion.

Principal peaks in the range 2θ from 10° to 90°, sorted by position:
2theta  intensity
24.71  57
27.03  61
28.80  31
32.24  24
32.76  26
33.09  100
43.77  41
51.03  23
51.26  33
58.03  21

Structural model:
```
data_La3NiWS3O6
_cell_length_a 9.4707
_cell_length_b 9.4707
_cell_length_c 5.5532
_cell_angle_alpha 90.00
_cell_angle_beta 90.00
_cell_angle_gamma 120.00
_symmetry_space_group_name_H-M 'P 63/m'
_symmetry_Int_Tables_number 176
_symmetry_space_group_name_Hall '-P 6c'
loop_
_atom_site_label
_atom_site_type_symbol
_atom_site_fract_x
_atom_site_fract_y
_atom_site_fract_z
_atom_site_occupancy
La1 La 0.0902 0.4053 0.2500 1
Ni1 Ni 0.0000 0.0000 0.0000 1
W1 W 0.3333 0.6667 0.7500 1
S1 S 0.0473 0.2250 0.7500 1
O1 O 0.1607 0.6354 0.5221 1
```